Structure and theoretical powder XRD pattern of K2TiSi6O15 (a crystal structure in the Materials Project, relaxed with PBE; Cu Kα).
Peak positions follow from Bragg's law for the DFT cell and can differ from measured ones.

Structure:
a = 7.0086 Å, b = 12.9385 Å, c = 7.7587 Å
α = 90.00°, β = 106.18°, γ = 90.00°
Space group P2_1 (No. 4)
Symmetry-distinct sites (fractional):
K1 0.1904 0.0000 0.4206 (multiplicity 2)
K2 0.1996 0.2966 0.1508 (multiplicity 2)
Ti1 0.2440 0.6561 0.7510 (multiplicity 2)
Si1 0.0078 0.7273 0.3316 (multiplicity 2)
Si2 0.0133 0.5633 0.0439 (multiplicity 2)
Si3 0.3065 0.8995 0.9309 (multiplicity 2)
Si4 0.3290 0.3958 0.7086 (multiplicity 2)
Si5 0.4487 0.7389 0.4426 (multiplicity 2)
Si6 0.4544 0.5711 0.1637 (multiplicity 2)
O1 0.0232 0.6131 0.8569 (multiplicity 2)
O2 0.0258 0.6789 0.5255 (multiplicity 2)
O3 0.0737 0.1456 0.8354 (multiplicity 2)
O4 0.1336 0.3298 0.7221 (multiplicity 2)
O5 0.1353 0.9628 0.9976 (multiplicity 2)
O6 0.2072 0.7974 0.8286 (multiplicity 2)
O7 0.2256 0.7710 0.3199 (multiplicity 2)
O8 0.2347 0.5225 0.1630 (multiplicity 2)
O9 0.2671 0.5139 0.6670 (multiplicity 2)
O10 0.3868 0.9741 0.7922 (multiplicity 2)
O11 0.4111 0.3425 0.5482 (multiplicity 2)
O12 0.4385 0.6270 0.9755 (multiplicity 2)
O13 0.4509 0.7053 0.6427 (multiplicity 2)
O14 0.4649 0.1458 0.6595 (multiplicity 2)
O15 0.4991 0.8774 0.1019 (multiplicity 2)

Top 10 peaks for 2θ = 10–90°, in order of rising 2θ:
| h k l | two_theta | I (rel.) |
| --- | --- | --- |
| 1 1 0 | 14.84 | 24.6 |
| 0 2 1 | 18.16 | 28.4 |
| 1 3 0 | 24.51 | 32.0 |
| 0 1 2 | 24.86 | 100.0 |
| 1 3 -1 | 25.62 | 52.1 |
| 2 1 -1 | 26.75 | 40.2 |
| 2 2 -1 | 29.35 | 34.1 |
| 2 2 0 | 29.93 | 23.1 |
| 0 4 1 | 30.12 | 22.4 |
| 1 4 -1 | 31.57 | 39.2 |